Theoretical PXRD pattern of BaAcCu2P2 for CuKα, from DFT lattice parameters and positions (GGA-PBE).
Kinematic intensities with the Lorentz-polarization factor, no thermal factor.

Most intense lines, 5° ≤ 2θ ≤ 70°, by intensity:
- 31.64°, I 100, (1 0 2)
- 43.56°, I 31, (1 1 0)
- 24.74°, I 28, (1 0 0)
- 60.19°, I 22, (1 1 4)
- 54.83°, I 21, (0 2 2)
- 9.68°, I 13, (0 0 1)
- 39.43°, I 13, (0 0 4)
- 47.11°, I 11, (0 1 4)
- 66.66°, I 11, (1 0 6)
- 26.62°, I 8, (1 0 1)

Cell and atoms:
```
data_BaAcCu2P2
_chemical_formula_sum 'Ba1 Ac1 Cu2 P2'
_cell_length_a 4.1554
_cell_length_b 4.1554
_cell_length_c 9.1414
_cell_angle_alpha 90.00
_cell_angle_beta 90.00
_cell_angle_gamma 120.00
_symmetry_space_group_name_H-M 'P -3 m 1'
_symmetry_Int_Tables_number 164
_symmetry_space_group_name_Hall '-P 3 2"'
loop_
_atom_site_label
_atom_site_fract_x
_atom_site_fract_y
_atom_site_fract_z
Ba1 0.0000 0.0000 0.0000
Ac1 0.0000 0.0000 0.5000
Cu1 0.3333 0.6667 0.2659
P1 0.3333 0.6667 0.7380
```